Structure and theoretical powder diffractogram of CsMoAsH2O7 (a cell relaxed with PBE+U; Cu Kα (weighted mean of Kα1 and Kα2)).

Peak list (10 most intense, 10 to 90 degrees two-theta, in order of falling intensity)
2θ 25.45, rel. 100
2θ 26.84, rel. 57
2θ 28.05, rel. 45
2θ 19.92, rel. 45
2θ 24.91, rel. 38
2θ 27.12, rel. 35
2θ 23.80, rel. 32
2θ 24.24, rel. 32
2θ 12.05, rel. 31
2θ 19.74, rel. 31

Cell and atoms:
a b c (Å): 7.948 10.221 11.328
angles (deg): 63.29 69.65 72.54
Sites, in units of the cell vectors:
Cs 0.179 0.195 0.336
Cs 0.307 0.814 0.043
Cs 0.693 0.186 0.957
Cs 0.821 0.805 0.664
Mo 0.370 0.190 0.694
Mo 0.375 0.738 0.632
Mo 0.625 0.262 0.368
Mo 0.630 0.810 0.306
As 0.194 0.422 0.866
As 0.298 0.543 0.444
As 0.702 0.457 0.556
As 0.806 0.578 0.134
H 0.002 0.962 0.802
H 0.017 0.630 0.385
H 0.044 0.180 0.068
H 0.182 0.499 0.027
H 0.818 0.501 0.973
H 0.956 0.820 0.932
H 0.983 0.370 0.615
H 0.998 0.038 0.198
O 0.017 0.622 0.070
O 0.100 0.088 0.131
O 0.117 0.675 0.379
O 0.174 0.111 0.777
O 0.189 0.599 0.740
O 0.200 0.412 0.596
O 0.201 0.882 0.575
O 0.275 0.422 0.992
O 0.358 0.287 0.820
O 0.408 0.767 0.761
O 0.410 0.654 0.459
O 0.422 0.469 0.324
O 0.424 0.180 0.518
O 0.461 0.951 0.239
O 0.539 0.049 0.761
O 0.576 0.820 0.482
O 0.578 0.531 0.676
O 0.590 0.346 0.541
O 0.592 0.233 0.239
O 0.642 0.713 0.180
O 0.725 0.578 0.008
O 0.799 0.118 0.425
O 0.800 0.588 0.404
O 0.811 0.401 0.260
O 0.826 0.889 0.223
O 0.883 0.325 0.621
O 0.900 0.912 0.869
O 0.983 0.378 0.930